[1]
Diffraction record for AcHoB12. The PXRD pattern is theoretical, not measured: it uses a structure optimized by DFT (GGA-PBE) and Cu Kα, 1.54184 Å.
Kinematic intensities with the Lorentz-polarization factor, no thermal factor.

Top 10 peaks for 2θ from 10° to 90°, in order of rising 2θ:
2θ = 21.42°, I = 75.5; 2θ = 30.47°, I = 100.0; 2θ = 37.55°, I = 41.6; 2θ = 43.64°, I = 21.1; 2θ = 49.11°, I = 51.7; 2θ = 54.15°, I = 31.0; 2θ = 67.76°, I = 28.2; 2θ = 71.98°, I = 20.0; 2θ = 76.10°, I = 13.8; 2θ = 88.10°, I = 19.5

Atomic structure:
Cell lengths 4.1498, 4.1498, 8.2917 Å; angles 90.00, 90.00, 90.00 degrees
Sites, in units of the cell vectors:
Ac 0.0000 0.0000 0.0000
Ho 0.0000 0.0000 0.5000
B 0.1997 0.5000 0.2546
B 0.1997 0.5000 0.7454
B 0.5000 0.1997 0.2546
B 0.5000 0.1997 0.7454
B 0.5000 0.5000 0.1020
B 0.5000 0.5000 0.4023
B 0.5000 0.5000 0.5977
B 0.5000 0.5000 0.8980
B 0.5000 0.8003 0.2546
B 0.5000 0.8003 0.7454
B 0.8003 0.5000 0.2546
B 0.8003 0.5000 0.7454

[2]
Diffraction record for TmHgS2O8. The PXRD pattern is theoretical, not measured: it uses a structure optimized by DFT (GGA-PBE) and Cu Kα, 1.54184 Å.
Kinematic intensities with the Lorentz-polarization factor, no thermal factor.

Top 10 peaks for 2θ from 10° to 90°, in order of rising 2θ:
2θ = 18.82°, I = 100.0; 2θ = 19.66°, I = 40.8; 2θ = 21.54°, I = 28.6; 2θ = 28.03°, I = 83.9; 2θ = 29.41°, I = 62.6; 2θ = 32.39°, I = 24.9; 2θ = 33.91°, I = 41.1; 2θ = 39.23°, I = 20.5; 2θ = 45.16°, I = 20.3; 2θ = 58.74°, I = 17.1

Atomic structure:
Cell lengths 5.3097, 5.3097, 8.2859 Å; angles 94.32, 94.32, 62.74 degrees
Sites, in units of the cell vectors:
Tm 0.0000 0.0000 0.0000
Hg 0.0000 0.0000 0.5000
S 0.3320 0.3320 0.7838
S 0.6680 0.6680 0.2162
O 0.2072 0.6455 0.8190
O 0.2126 0.2126 0.8963
O 0.2728 0.2728 0.6132
O 0.3545 0.7928 0.1810
O 0.6455 0.2072 0.8190
O 0.7272 0.7272 0.3868
O 0.7874 0.7874 0.1037
O 0.7928 0.3545 0.1810

[3]
Diffraction record for SmGa4Rh2. The PXRD pattern is theoretical, not measured: it uses a structure optimized by DFT (GGA-PBE) and Cu Kα, 1.54184 Å.
Kinematic intensities with the Lorentz-polarization factor, no thermal factor.

Top 10 peaks for 2θ from 10° to 90°, in order of rising 2θ:
2θ = 35.87°, I = 100.0; 2θ = 36.01°, I = 55.4; 2θ = 37.59°, I = 19.7; 2θ = 39.18°, I = 29.3; 2θ = 41.51°, I = 45.2; 2θ = 44.39°, I = 11.1; 2θ = 47.03°, I = 17.3; 2θ = 58.40°, I = 18.0; 2θ = 68.77°, I = 16.8; 2θ = 72.09°, I = 19.6

Atomic structure:
Cell lengths 17.1866, 4.3510, 6.5520 Å; angles 90.00, 90.00, 90.00 degrees
Sites, in units of the cell vectors:
Sm 0.1391 0.2500 0.0118
Sm 0.3609 0.7500 0.5118
Sm 0.6391 0.2500 0.4882
Sm 0.8609 0.7500 0.9882
Ga 0.0337 0.7500 0.1620
Ga 0.0668 0.2500 0.5083
Ga 0.1867 0.7500 0.3081
Ga 0.1907 0.7500 0.7165
Ga 0.3093 0.2500 0.2165
Ga 0.3133 0.2500 0.8081
Ga 0.4332 0.7500 0.0083
Ga 0.4663 0.2500 0.6620
Ga 0.5337 0.7500 0.3380
Ga 0.5668 0.2500 0.9917
Ga 0.6867 0.7500 0.1919
Ga 0.6907 0.7500 0.7835
Ga 0.8093 0.2500 0.2835
Ga 0.8133 0.2500 0.6919
Ga 0.9332 0.7500 0.4917
Ga 0.9663 0.2500 0.8380
Rh 0.0400 0.7500 0.7580
Rh 0.2121 0.2500 0.5140
Rh 0.2879 0.7500 0.0140
Rh 0.4600 0.2500 0.2580
Rh 0.5400 0.7500 0.7420
Rh 0.7121 0.2500 0.9860
Rh 0.7879 0.7500 0.4860
Rh 0.9600 0.2500 0.2420

[4]
Diffraction record for Sm5Tc2Br2. The PXRD pattern is theoretical, not measured: it uses a structure optimized by DFT (GGA-PBE) and Cu Kα, 1.54184 Å.
Kinematic intensities with the Lorentz-polarization factor, no thermal factor.

Top 10 peaks for 2θ from 10° to 90°, in order of rising 2θ:
2θ = 10.81°, I = 71.2; 2θ = 25.07°, I = 20.1; 2θ = 30.06°, I = 40.0; 2θ = 31.41°, I = 48.9; 2θ = 31.65°, I = 34.4; 2θ = 33.41°, I = 69.8; 2θ = 36.22°, I = 100.0; 2θ = 37.39°, I = 54.1; 2θ = 56.69°, I = 21.3; 2θ = 63.15°, I = 39.4

Atomic structure:
Cell lengths 9.0957, 9.0957, 7.9243 Å; angles 90.00, 90.00, 51.79 degrees
Sites, in units of the cell vectors:
Sm 0.0000 0.0000 0.0000
Sm 0.0461 0.7331 0.6544
Sm 0.2331 0.5461 0.1544
Sm 0.2669 0.9539 0.6544
Sm 0.4539 0.7669 0.1544
Sm 0.5000 0.5000 0.5000
Sm 0.5461 0.2331 0.8456
Sm 0.7331 0.0461 0.3456
Sm 0.7669 0.4539 0.8456
Sm 0.9539 0.2669 0.3456
Tc 0.1382 0.8618 0.3625
Tc 0.3618 0.6382 0.8625
Tc 0.6382 0.3618 0.1375
Tc 0.8618 0.1382 0.6375
Br 0.2196 0.2196 0.0000
Br 0.2804 0.2804 0.5000
Br 0.7196 0.7196 0.5000
Br 0.7804 0.7804 0.0000

[5]
Diffraction record for UH2IO8. The PXRD pattern is theoretical, not measured: it uses a structure optimized by DFT (GGA-PBE) and Cu Kα, 1.54184 Å.
Kinematic intensities with the Lorentz-polarization factor, no thermal factor.

Top 10 peaks for 2θ from 10° to 90°, in order of rising 2θ:
2θ = 17.69°, I = 100.0; 2θ = 18.67°, I = 81.3; 2θ = 23.75°, I = 41.9; 2θ = 25.85°, I = 35.6; 2θ = 27.77°, I = 30.6; 2θ = 30.33°, I = 21.8; 2θ = 31.57°, I = 26.0; 2θ = 36.75°, I = 23.3; 2θ = 37.91°, I = 19.8; 2θ = 39.79°, I = 18.3

Atomic structure:
Cell lengths 4.8373, 5.0742, 6.9357 Å; angles 89.31, 83.71, 81.20 degrees
Sites, in units of the cell vectors:
U 0.0000 0.0000 0.0000
H 0.4468 0.7895 0.6374
H 0.5532 0.2105 0.3626
I 0.0000 0.0000 0.5000
O 0.1831 0.8153 0.2753
O 0.2385 0.7984 0.6880
O 0.2421 0.2440 0.4615
O 0.2454 0.2337 0.9915
O 0.7546 0.7663 0.0085
O 0.7579 0.7560 0.5385
O 0.7615 0.2016 0.3120
O 0.8169 0.1847 0.7247

[6]
Diffraction record for DyHo3Er6. The PXRD pattern is theoretical, not measured: it uses a structure optimized by DFT (GGA-PBE) and Cu Kα, 1.54184 Å.
Kinematic intensities with the Lorentz-polarization factor, no thermal factor.

Top 10 peaks for 2θ from 10° to 90°, in order of rising 2θ:
2θ = 29.20°, I = 70.2; 2θ = 29.54°, I = 41.3; 2θ = 31.69°, I = 62.5; 2θ = 31.91°, I = 100.0; 2θ = 32.69°, I = 61.9; 2θ = 33.35°, I = 41.6; 2θ = 34.24°, I = 65.3; 2θ = 35.17°, I = 27.1; 2θ = 57.58°, I = 43.0; 2θ = 58.23°, I = 33.5

Atomic structure:
Cell lengths 11.3892, 11.3892, 6.2873 Å; angles 90.00, 90.00, 130.65 degrees
Sites, in units of the cell vectors:
Dy 0.1614 0.8386 0.5000
Dy 0.8386 0.1614 0.0000
Ho 0.1048 0.5427 0.8143
Ho 0.3016 0.6984 0.2729
Ho 0.4573 0.8952 0.8143
Ho 0.5427 0.1048 0.3143
Ho 0.6984 0.3016 0.7729
Ho 0.8952 0.4573 0.3143
Er 0.0150 0.9850 0.3050
Er 0.0428 0.2954 0.4751
Er 0.2579 0.3780 0.0535
Er 0.2954 0.0428 0.9751
Er 0.3780 0.2579 0.5535
Er 0.4200 0.5800 0.5793
Er 0.5800 0.4200 0.0793
Er 0.6220 0.7421 0.0535
Er 0.7046 0.9572 0.4751
Er 0.7421 0.6220 0.5535
Er 0.9572 0.7046 0.9751
Er 0.9850 0.0150 0.8050

[7]
Diffraction record for VPd9Au2. The PXRD pattern is theoretical, not measured: it uses a structure optimized by DFT (GGA-PBE) and Cu Kα, 1.54184 Å.
Kinematic intensities with the Lorentz-polarization factor, no thermal factor.

Top 10 peaks for 2θ from 10° to 90°, in order of rising 2θ:
2θ = 23.68°, I = 4.0; 2θ = 35.42°, I = 3.9; 2θ = 37.78°, I = 3.3; 2θ = 39.37°, I = 100.0; 2θ = 45.70°, I = 15.3; 2θ = 45.83°, I = 33.0; 2θ = 66.75°, I = 30.0; 2θ = 80.22°, I = 10.5; 2θ = 80.40°, I = 24.5; 2θ = 84.72°, I = 10.2

Atomic structure:
Cell lengths 3.9602, 3.9602, 11.9111 Å; angles 90.00, 90.00, 90.00 degrees
Sites, in units of the cell vectors:
V 0.0000 0.0000 0.0000
Pd 0.0000 0.5000 0.1545
Pd 0.0000 0.5000 0.5000
Pd 0.0000 0.5000 0.8455
Pd 0.5000 0.0000 0.1545
Pd 0.5000 0.0000 0.5000
Pd 0.5000 0.0000 0.8455
Pd 0.5000 0.5000 0.0000
Pd 0.5000 0.5000 0.3266
Pd 0.5000 0.5000 0.6734
Au 0.0000 0.0000 0.3298
Au 0.0000 0.0000 0.6702

[8]
Diffraction record for Sr8LiCd2. The PXRD pattern is theoretical, not measured: it uses a structure optimized by DFT (GGA-PBE) and Cu Kα, 1.54184 Å.
Kinematic intensities with the Lorentz-polarization factor, no thermal factor.

Top 10 peaks for 2θ from 10° to 90°, in order of rising 2θ:
2θ = 14.05°, I = 64.1; 2θ = 21.23°, I = 59.3; 2θ = 25.52°, I = 93.5; 2θ = 27.06°, I = 100.0; 2θ = 27.17°, I = 92.6; 2θ = 29.26°, I = 59.6; 2θ = 30.64°, I = 55.4; 2θ = 31.14°, I = 50.2; 2θ = 32.09°, I = 57.6; 2θ = 32.37°, I = 61.5

Atomic structure:
Cell lengths 9.3136, 9.3136, 6.5785 Å; angles 99.20, 99.20, 112.21 degrees
Sites, in units of the cell vectors:
Sr 0.0000 0.0000 0.0000
Sr 0.0495 0.3074 0.6001
Sr 0.1415 0.6147 0.1919
Sr 0.3074 0.0495 0.6001
Sr 0.4494 0.7071 0.7835
Sr 0.6147 0.1415 0.1919
Sr 0.7071 0.4494 0.7835
Sr 0.7575 0.7575 0.3846
Li 0.3791 0.3791 0.1987
Cd 0.0648 0.6922 0.6922
Cd 0.6922 0.0648 0.6922